Structure and calculated PXRD pattern of CaCo6O2F10 (a PBE+U-relaxed structure; Cu Kα X-rays).
Intensities are scaled so that the largest is 100.

The 12 most intense peaks (10° ≤ 2θ ≤ 90°), by intensity:
2theta, intensity, hkl
25.8, 100, 0 2 0
28.7, 67, 2 0 -1
33.1, 36, 1 1 -4
30.3, 36, 1 1 3
36.3, 32, 1 1 4
39.0, 27, 2 2 -1
50.3, 24, 1 3 -4
53.0, 19, 0 4 0
42.9, 18, 1 1 5
52.7, 17, 1 3 4
48.3, 17, 3 1 -3
22.8, 16, 1 1 -2

Cell and atoms:
```
data_CaCo6O2F10
_chemical_formula_sum 'Ca2 Co12 O4 F20'
_symmetry_space_group_name_H-M 'C 1 m 1'
_symmetry_Int_Tables_number 8
_cell_length_a 6.271
_cell_length_b 6.906
_cell_length_c 12.559
_cell_angle_alpha 90.00
_cell_angle_beta 97.55
_cell_angle_gamma 90.00
loop_
_symmetry_equiv_pos_as_xyz
'x,y,z'
'x,-y,z'
'x+1/2,y+1/2,z'
'x+1/2,-y+1/2,z'
loop_
_atom_site_label
_atom_site_fract_x
_atom_site_fract_y
_atom_site_fract_z
_atom_site_occupancy
Ca1 0.000 0.000 0.000 1
Co1 0.248 0.500 0.474 1
Co2 0.264 0.000 0.349 1
Co3 0.300 0.500 0.232 1
Co4 0.317 0.000 0.602 1
Co5 0.434 0.500 0.715 1
Co6 0.439 0.000 0.875 1
O1 0.237 0.000 0.748 1
O2 0.453 0.000 0.476 1
F1 0.052 0.000 0.465 1
F2 0.099 0.000 0.193 1
F3 0.196 0.500 0.084 1
F4 0.218 0.300 0.328 1
F5 0.248 0.500 0.836 1
F6 0.308 0.306 0.609 1
F7 0.321 0.194 0.969 1
```